Simulated PXRD pattern of Cu2SeS3 for λ = 1.5418 Å (Cu Kα), from the PBE geometry in the Materials Project.

Largest 12 diffraction maxima, by angle, 2θ = 5–70°:
25.79°, I 72
29.32°, I 53
29.89°, I 100
33.31°, I 19
33.41°, I 11
44.78°, I 24
45.65°, I 41
50.07°, I 36
50.71°, I 14
52.74°, I 18
56.75°, I 14
57.56°, I 12

Crystal structure
a = 6.338 Å, b = 10.801 Å, c = 7.190 Å
α = 90.00°, β = 106.04°, γ = 90.00°
Space group Cc (No. 9)
One atom of each set of equivalent atoms:
Cu 0.000 0.072 0.000
Cu 0.473 0.253 0.994
Se 0.482 0.108 0.495
S 0.103 0.234 0.834
S 0.109 0.092 0.338
S 0.132 0.432 0.436



Simulated PXRD pattern of Li2Ti3O7 for λ = 1.5418 Å (Cu Kα), from the PBE geometry in the Materials Project.

Largest 12 diffraction maxima, by angle, 2θ = 5–70°:
11.66°, I 100
15.96°, I 41
26.46°, I 83
28.67°, I 42
32.44°, I 13
38.25°, I 36
41.89°, I 31
48.42°, I 30
54.47°, I 22
55.58°, I 23
63.32°, I 12
65.92°, I 12

Crystal structure
a = 7.649 Å, b = 3.760 Å, c = 9.420 Å
α = 90.00°, β = 97.32°, γ = 90.00°
Space group P2_1/m (No. 11)
One atom of each set of equivalent atoms:
Li 0.074 0.250 0.096
Li 0.099 0.750 0.327
Ti 0.236 0.250 0.841
Ti 0.336 0.250 0.532
Ti 0.449 0.250 0.221
O 0.012 0.250 0.876
O 0.148 0.250 0.627
O 0.245 0.250 0.335
O 0.304 0.750 0.835
O 0.323 0.250 0.050
O 0.405 0.750 0.548
O 0.492 0.250 0.744



Simulated PXRD pattern of Lu5Te2Au2 for λ = 1.5418 Å (Cu Kα), from the PBE geometry in the Materials Project.

Largest 12 diffraction maxima, by angle, 2θ = 5–70°:
11.61°, I 51
28.03°, I 15
31.02°, I 65
32.33°, I 22
32.79°, I 40
33.56°, I 19
34.78°, I 75
36.77°, I 100
39.18°, I 41
47.73°, I 15
52.24°, I 15
66.92°, I 36

Crystal structure
a = 15.243 Å, b = 7.836 Å, c = 7.827 Å
α = 90.00°, β = 90.00°, γ = 90.00°
Space group Cmce (No. 64)
One atom of each set of equivalent atoms:
Lu 0.000 0.000 0.000
Lu 0.122 0.162 0.339
Te 0.208 0.000 0.000
Au 0.000 0.137 0.635



Simulated PXRD pattern of BaCa for λ = 1.5418 Å (Cu Kα), from the PBE geometry in the Materials Project.

Largest 12 diffraction maxima, by angle, 2θ = 5–70°:
15.86°, I 20
20.42°, I 22
25.96°, I 100
28.28°, I 20
29.77°, I 18
32.04°, I 14
41.52°, I 14
43.26°, I 12
48.67°, I 17
50.56°, I 15
53.39°, I 13
53.53°, I 13

Crystal structure
a = 6.003 Å, b = 6.312 Å, c = 5.586 Å
α = 90.00°, β = 90.00°, γ = 90.00°
Space group Cmmm (No. 65)
One atom of each set of equivalent atoms:
Ba 0.000 0.000 0.000
Ca 0.000 0.500 0.500



Question: Number 2 is which compound?
Answer: Li2Ti3O7